For Cr2In3Cl9, a cell relaxed with PBE gives the simulated X-ray diffraction stick pattern in this record (Cu Ka).
No peak broadening, texture or thermal motion is included.

Main lines, low angle first (15 to 90 degrees two-theta):
2θ/deg	I_rel
15.35	28
17.64	65
25.26	93
29.14	67
30.27	27
30.98	100
33.03	86
35.72	49
38.94	56
46.99	49
51.87	54
58.29	30

Structural model:
a b c (Å): 7.051 7.051 17.716
angles (deg): 90.00 90.00 120.00
Fractional coordinates of all 28 atoms:
1 Cr 0.333 0.667 0.162
2 Cr 0.333 0.667 0.338
3 Cr 0.667 0.333 0.662
4 Cr 0.667 0.333 0.838
5 In 0.000 0.000 0.250
6 In 0.000 0.000 0.750
7 In 0.333 0.667 0.551
8 In 0.333 0.667 0.949
9 In 0.667 0.333 0.051
10 In 0.667 0.333 0.449
11 Cl 0.031 0.515 0.250
12 Cl 0.176 0.353 0.090
13 Cl 0.176 0.353 0.410
14 Cl 0.176 0.824 0.090
15 Cl 0.176 0.824 0.410
16 Cl 0.353 0.176 0.590
17 Cl 0.353 0.176 0.910
18 Cl 0.485 0.515 0.250
19 Cl 0.485 0.969 0.250
20 Cl 0.515 0.031 0.750
21 Cl 0.515 0.485 0.750
22 Cl 0.647 0.824 0.090
23 Cl 0.647 0.824 0.410
24 Cl 0.824 0.176 0.590
25 Cl 0.824 0.176 0.910
26 Cl 0.824 0.647 0.590
27 Cl 0.824 0.647 0.910
28 Cl 0.969 0.485 0.750

For CrIn4Cl7, a cell relaxed with PBE gives the simulated X-ray diffraction stick pattern in this record (Cu Ka).
No peak broadening, texture or thermal motion is included.

Main lines, low angle first (15 to 90 degrees two-theta):
2θ/deg	I_rel
18.70	31
18.86	33
22.76	51
23.35	43
24.07	78
24.63	48
26.33	37
31.04	100
32.55	43
34.27	50
35.80	37
37.12	66

Structural model:
a b c (Å): 10.615 10.615 7.419
angles (deg): 106.00 106.00 26.38
Fractional coordinates of all 12 atoms:
1 Cr 0.000 0.000 0.000
2 In 0.315 0.315 0.757
3 In 0.422 0.422 0.363
4 In 0.578 0.578 0.637
5 In 0.685 0.685 0.243
6 Cl 0.069 0.069 0.315
7 Cl 0.099 0.099 0.900
8 Cl 0.283 0.283 0.332
9 Cl 0.500 0.500 0.000
10 Cl 0.717 0.717 0.668
11 Cl 0.901 0.901 0.100
12 Cl 0.931 0.931 0.685

For CrInCl4, a cell relaxed with PBE gives the simulated X-ray diffraction stick pattern in this record (Cu Ka).
No peak broadening, texture or thermal motion is included.

Main lines, low angle first (15 to 90 degrees two-theta):
2θ/deg	I_rel
17.00	100
23.26	12
25.72	38
27.21	31
31.48	66
31.89	22
37.27	12
37.46	14
37.79	13
38.84	22
42.09	26
63.71	14

Structural model:
a b c (Å): 8.070 8.070 7.129
angles (deg): 90.00 90.00 108.60
Fractional coordinates of all 12 atoms:
1 Cr 0.000 0.000 0.250
2 Cr 0.000 0.000 0.750
3 In 0.000 0.500 0.000
4 In 0.500 0.000 0.500
5 Cl 0.170 0.172 0.500
6 Cl 0.172 0.170 0.000
7 Cl 0.177 0.823 0.250
8 Cl 0.177 0.823 0.750
9 Cl 0.823 0.177 0.250
10 Cl 0.823 0.177 0.750
11 Cl 0.828 0.830 0.000
12 Cl 0.830 0.828 0.500

For CrIn3Cl6, a cell relaxed with PBE gives the simulated X-ray diffraction stick pattern in this record (Cu Ka).
No peak broadening, texture or thermal motion is included.

Main lines, low angle first (15 to 90 degrees two-theta):
2θ/deg	I_rel
23.08	86
25.81	45
31.71	46
33.37	20
34.89	100
35.62	24
38.77	14
43.45	14
45.07	21
47.16	17
53.05	22
63.51	14

Structural model:
a b c (Å): 8.548 8.548 8.548
angles (deg): 88.76 88.76 88.76
Fractional coordinates of all 20 atoms:
1 Cr 0.000 0.000 0.000
2 Cr 0.500 0.500 0.500
3 In 0.125 0.750 0.375
4 In 0.250 0.625 0.875
5 In 0.375 0.125 0.750
6 In 0.625 0.875 0.250
7 In 0.750 0.375 0.125
8 In 0.875 0.250 0.625
9 Cl 0.063 0.925 0.740
10 Cl 0.075 0.260 0.937
11 Cl 0.240 0.425 0.563
12 Cl 0.260 0.937 0.075
13 Cl 0.425 0.563 0.240
14 Cl 0.437 0.760 0.575
15 Cl 0.563 0.240 0.425
16 Cl 0.575 0.437 0.760
17 Cl 0.740 0.063 0.925
18 Cl 0.760 0.575 0.437
19 Cl 0.925 0.740 0.063
20 Cl 0.937 0.075 0.260

For CrInCl4, a cell relaxed with PBE gives the simulated X-ray diffraction stick pattern in this record (Cu Ka).
No peak broadening, texture or thermal motion is included.

Main lines, low angle first (15 to 90 degrees two-theta):
2θ/deg	I_rel
16.63	68
19.31	73
20.05	94
22.07	40
24.58	51
25.10	81
29.32	54
30.38	80
30.63	80
34.99	100
41.06	46
48.90	39

Structural model:
a b c (Å): 8.270 8.270 6.167
angles (deg): 100.02 100.02 108.75
Fractional coordinates of all 12 atoms:
1 Cr 0.066 0.934 0.750
2 Cr 0.934 0.066 0.250
3 In 0.291 0.709 0.250
4 In 0.709 0.291 0.750
5 Cl 0.033 0.658 0.811
6 Cl 0.081 0.201 0.639
7 Cl 0.201 0.081 0.139
8 Cl 0.342 0.967 0.689
9 Cl 0.658 0.033 0.311
10 Cl 0.799 0.919 0.861
11 Cl 0.919 0.799 0.361
12 Cl 0.967 0.342 0.189

For CrIn4Cl6, a cell relaxed with PBE gives the simulated X-ray diffraction stick pattern in this record (Cu Ka).
No peak broadening, texture or thermal motion is included.

Main lines, low angle first (15 to 90 degrees two-theta):
2θ/deg	I_rel
19.74	21
23.60	36
30.95	100
33.62	35
39.29	16
40.09	16
47.05	12
47.66	10
48.94	10
53.29	17
62.86	11
67.19	10

Structural model:
a b c (Å): 8.429 8.429 8.997
angles (deg): 90.00 90.00 90.00
Fractional coordinates of all 22 atoms:
1 Cr 0.000 0.000 0.000
2 Cr 0.500 0.500 0.500
3 In 0.149 0.351 0.250
4 In 0.149 0.351 0.750
5 In 0.351 0.851 0.250
6 In 0.351 0.851 0.750
7 In 0.649 0.149 0.250
8 In 0.649 0.149 0.750
9 In 0.851 0.649 0.250
10 In 0.851 0.649 0.750
11 Cl 0.000 0.000 0.265
12 Cl 0.000 0.000 0.735
13 Cl 0.144 0.725 0.000
14 Cl 0.225 0.644 0.500
15 Cl 0.275 0.144 0.000
16 Cl 0.356 0.225 0.500
17 Cl 0.500 0.500 0.235
18 Cl 0.500 0.500 0.765
19 Cl 0.644 0.775 0.500
20 Cl 0.725 0.856 0.000
21 Cl 0.775 0.356 0.500
22 Cl 0.856 0.275 0.000

For KCrIn2Cl8, a cell relaxed with PBE gives the simulated X-ray diffraction stick pattern in this record (Cu Ka).
No peak broadening, texture or thermal motion is included.

Main lines, low angle first (15 to 90 degrees two-theta):
2θ/deg	I_rel
16.66	38
20.41	100
26.50	96
28.41	45
30.76	44
31.46	56
33.67	88
39.21	41
43.35	29
46.77	45
54.52	40
57.02	35

Structural model:
a b c (Å): 9.545 9.545 9.545
angles (deg): 41.27 41.27 41.27
Fractional coordinates of all 12 atoms:
1 K 0.000 0.000 0.000
2 Cr 0.500 0.500 0.500
3 In 0.217 0.217 0.217
4 In 0.783 0.783 0.783
5 Cl 0.203 0.380 0.765
6 Cl 0.235 0.797 0.620
7 Cl 0.312 0.312 0.312
8 Cl 0.380 0.765 0.203
9 Cl 0.620 0.235 0.797
10 Cl 0.688 0.688 0.688
11 Cl 0.765 0.203 0.380
12 Cl 0.797 0.620 0.235